Diffraction record for CuH12Br4N2O2. The powder XRD pattern is simulated, not measured: it uses DFT lattice parameters and positions (PBE) and Cu Kα, 1.54184 Å.
Intensities are scaled so that the largest is 100.

Atomic structure:
Cell lengths 8.0953, 8.0953, 8.3072 Å; angles 90.00, 90.00, 90.00 degrees
Space group P4_2/mnm (No. 136)
Inequivalent atoms, fractional coordinates:
Cu: 0.0000 0.0000 0.0000 [2 per cell]
H: 0.0672 0.4194 0.3218 [16 per cell]
H: 0.0704 0.0704 0.3058 [8 per cell]
Br: 0.2122 0.2122 0.0000 [4 per cell]
Br: 0.2144 0.2144 0.5000 [4 per cell]
N: 0.0000 0.5000 0.2500 [4 per cell]
O: 0.0000 0.0000 0.2367 [4 per cell]

Most intense lines, 10° ≤ 2θ ≤ 90°, low angle first:
(1 0 1), 15.28 deg, I = 32; (0 0 2), 21.39 deg, I = 73; (2 0 0), 21.96 deg, I = 29; (2 1 0), 24.59 deg, I = 44; (2 0 2), 30.85 deg, I = 100; (2 2 0), 31.25 deg, I = 90; (2 1 2), 32.82 deg, I = 39; (2 2 2), 38.19 deg, I = 46; (4 1 2), 51.48 deg, I = 35; (2 2 4), 54.60 deg, I = 32